Theoretical powder X-ray diffraction pattern of V3FeNi2P6O24 for Cu Kα (weighted mean of Kα1 and Kα2), from a cell relaxed with PBE+U.
Kinematic intensities with the Lorentz-polarization factor, no thermal factor.

Most intense lines, 15 to 90 degrees two-theta, low angle first:
- 2θ = 20.6°, I = 840, hkl 1 1 0
- 2θ = 24.4°, I = 1000, hkl 2 -1 3
- 2θ = 25.4°, I = 211, hkl 2 0 2
- 2θ = 33.4°, I = 677, hkl 1 1 6
- 2θ = 36.2°, I = 374, hkl 3 0 0
- 2θ = 47.9°, I = 333, hkl 1 2 8
- 2θ = 50.1°, I = 257, hkl 2 2 6
- 2θ = 56.6°, I = 231, hkl 1 4 0

Cell: 8.6041 8.6041 20.5583 Å, 90.00 90.00 120.00°
Space group R3 (No. 146, hexagonal axes)
Inequivalent atoms, fractional coordinates:
V: 0.0000 0.0000 0.0000 x3
V: 0.0000 0.0000 0.2152 x3
V: 0.0000 0.0000 0.7150 x3
Fe: 0.0000 0.0000 0.5003 x3
Ni: 0.0000 0.0000 0.3576 x3
Ni: 0.0000 0.0000 0.8577 x3
P: 0.9995 0.2937 0.6071 x9
P: 0.0005 0.7063 0.1069 x9
O: 0.0043 0.1963 0.6691 x9
O: 0.0046 0.8080 0.1687 x9
O: 0.0161 0.1812 0.2821 x9
O: 0.0165 0.8350 0.7816 x9
O: 0.1384 0.4668 0.2122 x9
O: 0.1470 0.6786 0.7123 x9
O: 0.1682 0.4861 0.6006 x9
O: 0.1687 0.6873 0.0975 x9